(1)
Starting from a DFT-relaxed cell (PBE, Alexandria), the powder X-ray diffraction pattern of Dy5Se2S5 was calculated for Cu Ka.

The 10 most intense peaks (5 to 70 degrees two-theta), in order of rising 2θ:
2θ (°)	d/Å	I/Imax
23.20	3.834	100
24.14	3.687	97
24.30	3.663	61
26.02	3.424	33
27.48	3.245	38
32.97	2.717	82
33.76	2.655	77
41.16	2.193	56
47.51	1.914	40
53.51	1.712	33

Structure:
Cell lengths 6.7724, 6.7724, 11.8515 Å; angles 102.97, 102.97, 32.83 degrees
Positions (direct):
Dy 0.0000 0.0000 0.0000
Dy 0.1147 0.1147 0.4292
Dy 0.2900 0.2900 0.1842
Dy 0.7100 0.7100 0.8158
Dy 0.8853 0.8853 0.5708
Se 0.0416 0.0416 0.7805
Se 0.9584 0.9584 0.2195
S 0.2620 0.2620 0.6472
S 0.3426 0.3426 0.9501
S 0.5000 0.5000 0.5000
S 0.6574 0.6574 0.0499
S 0.7380 0.7380 0.3528

(2)
Starting from a DFT-relaxed cell (PBE, Alexandria), the powder X-ray diffraction pattern of La5YMg was calculated for Cu Ka.

The 10 most intense peaks (5 to 70 degrees two-theta), in order of rising 2θ:
2θ (°)	d/Å	I/Imax
18.06	4.911	20
31.13	2.873	34
31.32	2.856	100
31.64	2.827	60
44.75	2.025	22
45.48	1.994	9
55.55	1.654	17
55.86	1.646	9
56.20	1.637	12
62.52	1.486	8

Structure:
Cell lengths 6.6678, 6.6678, 11.9025 Å; angles 103.95, 103.95, 96.13 degrees
Positions (direct):
La 0.0337 0.3840 0.8373
La 0.1509 0.8491 0.7500
La 0.2251 0.5407 0.4734
La 0.3840 0.0337 0.3373
La 0.4593 0.7749 0.0266
La 0.5407 0.2251 0.9734
La 0.6160 0.9663 0.6627
La 0.7749 0.4593 0.5266
La 0.8491 0.1509 0.2500
La 0.9663 0.6160 0.1627
Y 0.4892 0.5108 0.2500
Y 0.5108 0.4892 0.7500
Mg 0.0000 0.0000 0.0000
Mg 0.0000 0.0000 0.5000

(3)
Starting from a DFT-relaxed cell (PBE, Alexandria), the powder X-ray diffraction pattern of La2Sm2GaGe4 was calculated for Cu Ka.

The 10 most intense peaks (5 to 70 degrees two-theta), in order of rising 2θ:
2θ (°)	d/Å	I/Imax
24.91	3.575	22
32.04	2.793	100
32.51	2.754	22
35.51	2.528	66
40.30	2.238	11
41.39	2.182	23
51.10	1.787	23
54.78	1.676	18
61.60	1.506	30
67.00	1.397	10

Structure:
Cell lengths 6.7526, 6.7526, 6.7526 Å; angles 116.07, 116.07, 96.96 degrees
Positions (direct):
La 0.2500 0.7500 0.5000
La 0.7500 0.2500 0.5000
Sm 0.1890 0.1890 0.0000
Sm 0.8110 0.8110 0.0000
Ga 0.5000 0.5000 0.0000
Ge 0.2500 0.2500 0.4999
Ge 0.2500 0.7500 0.0000
Ge 0.7500 0.2500 0.0000
Ge 0.7500 0.7500 0.5001

(4)
Starting from a DFT-relaxed cell (PBE, Alexandria), the powder X-ray diffraction pattern of TlIn5S7 was calculated for Cu Ka.

The 10 most intense peaks (5 to 70 degrees two-theta), in order of rising 2θ:
2θ (°)	d/Å	I/Imax
19.98	4.445	50
23.13	3.846	55
24.66	3.610	81
25.62	3.478	54
27.57	3.236	62
31.29	2.859	71
31.88	2.807	80
34.11	2.629	100
38.66	2.329	49
46.04	1.972	79

Structure:
Cell lengths 9.2322, 3.9442, 17.7358 Å; angles 90.00, 102.47, 90.00 degrees
Positions (direct):
Tl 0.0256 0.2500 0.2244
Tl 0.9744 0.7500 0.7756
In 0.1453 0.7500 0.4549
In 0.1721 0.2500 0.0323
In 0.3193 0.7500 0.6880
In 0.4331 0.2500 0.3810
In 0.4744 0.2500 0.8989
In 0.5256 0.7500 0.1011
In 0.5669 0.7500 0.6190
In 0.6807 0.2500 0.3120
In 0.8279 0.7500 0.9677
In 0.8547 0.2500 0.5451
S 0.0365 0.7500 0.0878
S 0.0576 0.7500 0.5888
S 0.2552 0.7500 0.3297
S 0.2631 0.2500 0.7704
S 0.3306 0.7500 0.9670
S 0.3358 0.2500 0.5057
S 0.3873 0.2500 0.1495
S 0.6127 0.7500 0.8505
S 0.6642 0.7500 0.4943
S 0.6694 0.2500 0.0330
S 0.7369 0.7500 0.2296
S 0.7448 0.2500 0.6703
S 0.9424 0.2500 0.4112
S 0.9635 0.2500 0.9122

(5)
Starting from a DFT-relaxed cell (PBE, Alexandria), the powder X-ray diffraction pattern of DyIO5 was calculated for Cu Ka.

The 10 most intense peaks (5 to 70 degrees two-theta), in order of rising 2θ:
2θ (°)	d/Å	I/Imax
22.10	4.022	90
27.08	3.293	100
27.82	3.207	43
35.23	2.548	60
35.81	2.507	26
45.09	2.011	18
47.38	1.919	16
48.76	1.868	20
53.39	1.716	29
54.14	1.694	19

Structure:
Cell lengths 5.4906, 5.4906, 7.6746 Å; angles 110.47, 110.47, 71.48 degrees
Positions (direct):
Dy 0.0382 0.9618 0.7500
Dy 0.9618 0.0382 0.2500
I 0.5000 0.5000 0.0000
I 0.5000 0.5000 0.5000
O 0.1994 0.7826 0.0280
O 0.2174 0.8006 0.4720
O 0.2598 0.2861 0.3839
O 0.2861 0.2598 0.8839
O 0.4122 0.5878 0.7500
O 0.5878 0.4122 0.2500
O 0.7139 0.7402 0.1161
O 0.7402 0.7139 0.6161
O 0.7826 0.1994 0.5280
O 0.8006 0.2174 0.9720

(6)
Starting from a DFT-relaxed cell (PBE, Alexandria), the powder X-ray diffraction pattern of Be8Co was calculated for Cu Ka.

The 10 most intense peaks (5 to 70 degrees two-theta), in order of rising 2θ:
2θ (°)	d/Å	I/Imax
16.79	5.280	100
23.83	3.734	44
33.95	2.640	17
36.32	2.474	29
38.11	2.361	26
43.90	2.062	34
50.56	1.805	41
51.95	1.760	19
56.64	1.625	15
62.31	1.490	11

Structure:
Cell lengths 5.4406, 5.4406, 5.4406 Å; angles 93.33, 93.33, 152.12 degrees
Positions (direct):
Be 0.0000 0.3319 0.3319
Be 0.0000 0.6681 0.6681
Be 0.3319 0.0000 0.3319
Be 0.3343 0.3343 0.6685
Be 0.3343 0.6657 0.0000
Be 0.6657 0.3343 0.0000
Be 0.6657 0.6657 0.3315
Be 0.6681 0.0000 0.6681
Co 0.0000 0.0000 0.0000

(7)
Starting from a DFT-relaxed cell (PBE, Alexandria), the powder X-ray diffraction pattern of AlV3 was calculated for Cu Ka.

The 10 most intense peaks (5 to 70 degrees two-theta), in order of rising 2θ:
2θ (°)	d/Å	I/Imax
17.05	5.201	8
37.78	2.381	14
39.05	2.307	37
41.69	2.166	100
42.66	2.119	12
44.48	2.037	69
45.36	1.999	5
58.40	1.580	20
61.80	1.501	5
66.69	1.402	7

Structure:
Cell lengths 4.9962, 4.3379, 10.4027 Å; angles 90.00, 90.00, 90.00 degrees
Positions (direct):
Al 0.0447 0.2500 0.1888
Al 0.4553 0.7500 0.6888
Al 0.5447 0.2500 0.3112
Al 0.9553 0.7500 0.8112
V 0.0829 0.2500 0.4355
V 0.1317 0.2500 0.9479
V 0.1561 0.2500 0.6787
V 0.3439 0.7500 0.1787
V 0.3683 0.7500 0.4479
V 0.4171 0.7500 0.9355
V 0.5829 0.2500 0.0645
V 0.6317 0.2500 0.5521
V 0.6561 0.2500 0.8213
V 0.8439 0.7500 0.3213
V 0.8683 0.7500 0.0521
V 0.9171 0.7500 0.5645

(8)
Starting from a DFT-relaxed cell (PBE, Alexandria), the powder X-ray diffraction pattern of GaIBr was calculated for Cu Ka.

The 10 most intense peaks (5 to 70 degrees two-theta), in order of rising 2θ:
2θ (°)	d/Å	I/Imax
12.18	7.267	26
12.56	7.048	25
17.35	5.112	19
17.69	5.013	22
21.83	4.072	51
24.50	3.634	15
24.83	3.586	100
27.91	3.196	23
35.85	2.505	34
43.67	2.073	20

Structure:
Cell lengths 5.2483, 7.1292, 7.3557 Å; angles 87.63, 81.18, 81.41 degrees
Positions (direct):
Ga 0.0000 0.0000 0.0000
Ga 0.3178 0.1503 0.1373
I 0.1331 0.7499 0.7565
I 0.6570 0.8778 0.2794
Br 0.1924 0.3935 0.3485
Br 0.6633 0.2551 0.8905

(9)
Starting from a DFT-relaxed cell (PBE, Alexandria), the powder X-ray diffraction pattern of Tm4Sc3In was calculated for Cu Ka.

The 10 most intense peaks (5 to 70 degrees two-theta), in order of rising 2θ:
2θ (°)	d/Å	I/Imax
18.81	4.718	13
26.42	3.373	12
32.63	2.744	100
37.27	2.412	17
38.15	2.359	33
54.39	1.687	23
55.05	1.668	11
64.30	1.449	14
65.48	1.425	26
68.37	1.372	11

Structure:
Cell lengths 9.6498, 6.6783, 6.6673 Å; angles 90.00, 90.00, 90.00 degrees
Positions (direct):
Tm 0.0000 0.0000 0.0000
Tm 0.0000 0.5000 0.0000
Tm 0.2500 0.2479 0.2500
Tm 0.2500 0.7521 0.7500
Tm 0.5000 0.0000 0.5000
Tm 0.5000 0.5000 0.5000
Tm 0.7500 0.2479 0.2500
Tm 0.7500 0.7521 0.7500
Sc 0.0000 0.0000 0.5000
Sc 0.2500 0.2478 0.7500
Sc 0.2500 0.7522 0.2500
Sc 0.5000 0.0000 0.0000
Sc 0.7500 0.2478 0.7500
Sc 0.7500 0.7522 0.2500
In 0.0000 0.5000 0.5000
In 0.5000 0.5000 0.0000

(10)
Starting from a DFT-relaxed cell (PBE, Alexandria), the powder X-ray diffraction pattern of SrLiCa14 was calculated for Cu Ka.

The 10 most intense peaks (5 to 70 degrees two-theta), in order of rising 2θ:
2θ (°)	d/Å	I/Imax
28.07	3.179	100
32.09	2.789	17
32.23	2.777	17
33.24	2.695	16
46.12	1.968	12
46.88	1.938	11
54.77	1.676	13
54.96	1.671	13
56.29	1.634	12
58.03	1.589	11

Structure:
Cell lengths 10.7797, 7.8727, 7.8727 Å; angles 89.75, 90.00, 90.00 degrees
Positions (direct):
Sr 0.0000 0.0000 0.0000
Li 0.0000 0.4994 0.4994
Ca 0.0000 0.0000 0.5000
Ca 0.0000 0.5000 0.0000
Ca 0.2485 0.2558 0.7443
Ca 0.2485 0.7443 0.2558
Ca 0.2489 0.2545 0.2545
Ca 0.2490 0.7455 0.7455
Ca 0.5000 0.0001 0.0001
Ca 0.5000 0.0001 0.5000
Ca 0.5000 0.5000 0.0001
Ca 0.5000 0.5000 0.5000
Ca 0.7511 0.2545 0.2545
Ca 0.7510 0.7455 0.7455
Ca 0.7515 0.2558 0.7443
Ca 0.7515 0.7443 0.2558

(11)
Starting from a DFT-relaxed cell (PBE, Alexandria), the powder X-ray diffraction pattern of LiSbAs was calculated for Cu Ka.

The 10 most intense peaks (5 to 70 degrees two-theta), in order of rising 2θ:
2θ (°)	d/Å	I/Imax
19.57	4.536	17
21.93	4.052	100
29.56	3.022	15
30.20	2.959	81
37.64	2.390	100
39.74	2.268	16
44.73	2.026	17
45.85	1.979	19
51.99	1.759	19
54.92	1.672	29

Structure:
Cell lengths 3.9050, 4.0522, 4.5362 Å; angles 90.00, 90.00, 90.00 degrees
Positions (direct):
Li 0.0000 0.0000 0.0000
Sb 0.0000 0.5000 0.5016
As 0.5000 0.5000 0.9029

(12)
Starting from a DFT-relaxed cell (PBE, Alexandria), the powder X-ray diffraction pattern of Na2ZnSiSe4 was calculated for Cu Ka.

The 10 most intense peaks (5 to 70 degrees two-theta), in order of rising 2θ:
2θ (°)	d/Å	I/Imax
10.93	8.098	47
16.97	5.226	42
25.11	3.546	100
25.56	3.484	45
26.05	3.421	76
28.35	3.148	66
36.50	2.462	35
40.50	2.228	53
47.40	1.918	39
48.79	1.867	33

Structure:
Cell lengths 7.8882, 8.0977, 6.8419 Å; angles 90.00, 90.00, 90.00 degrees
Positions (direct):
Na 0.2432 0.1661 0.0000
Na 0.2568 0.8339 0.5000
Na 0.7432 0.8339 0.5000
Na 0.7568 0.1661 0.0000
Zn 0.0000 0.3641 0.5009
Zn 0.5000 0.6359 0.0009
Si 0.0000 0.6547 0.9937
Si 0.5000 0.3453 0.4937
Se 0.0000 0.4008 0.1364
Se 0.0000 0.6341 0.6602
Se 0.2382 0.8097 0.0777
Se 0.2618 0.1903 0.5777
Se 0.5000 0.3659 0.1602
Se 0.5000 0.5992 0.6364
Se 0.7382 0.1903 0.5777
Se 0.7618 0.8097 0.0777